# 1
Computed powder diffraction line list
Compound: MnPt2
Radiation: Cu Ka
Structure: the GGA-PBE geometry in the Materials Project
Neutral-atom scattering factors, no anomalous dispersion.

Principal peaks in the range 2θ = 10–90°, by angle:
2theta, d [Å], intensity
13.6, 6.533, 18
27.3, 3.266, 15
36.3, 2.475, 10
38.9, 2.315, 100
41.5, 2.178, 22
46.0, 1.973, 53
65.3, 1.429, 19
68.9, 1.363, 20
78.7, 1.216, 13
80.4, 1.195, 20

```
data_MnPt2
_chemical_formula_sum 'Mn1 Pt2'
_space_group_name_H-M_alt 'P 1'
_space_group_IT_number 1
_cell_length_a 2.8584
_cell_length_b 2.8584
_cell_length_c 6.5325
_cell_angle_alpha 90.00
_cell_angle_beta 90.00
_cell_angle_gamma 120.00
loop_
_space_group_symop_operation_xyz
'x,y,z'
loop_
_atom_site_label
_atom_site_fract_x
_atom_site_fract_y
_atom_site_fract_z
_atom_site_occupancy
Mn1 0.0000 0.0000 0.0000 1
Pt1 0.3333 0.6667 0.6838 1
Pt2 0.6667 0.3333 0.3162 1
```


# 2
Computed powder diffraction line list
Compound: MnPt3
Radiation: Cu Ka
Structure: the GGA-PBE geometry in the Materials Project
Neutral-atom scattering factors, no anomalous dispersion.

Principal peaks in the range 2θ = 10–90°, by angle:
2theta, d [Å], intensity
22.6, 3.936, 14
32.2, 2.783, 12
39.7, 2.273, 100
46.1, 1.968, 49
51.9, 1.760, 7
57.3, 1.607, 5
67.3, 1.392, 32
72.0, 1.312, 3
81.0, 1.187, 38
85.4, 1.136, 11

```
data_MnPt3
_chemical_formula_sum 'Mn1 Pt3'
_space_group_name_H-M_alt 'P 1'
_space_group_IT_number 1
_cell_length_a 3.9361
_cell_length_b 3.9361
_cell_length_c 3.9361
_cell_angle_alpha 90.00
_cell_angle_beta 90.00
_cell_angle_gamma 90.00
loop_
_space_group_symop_operation_xyz
'x,y,z'
loop_
_atom_site_label
_atom_site_fract_x
_atom_site_fract_y
_atom_site_fract_z
_atom_site_occupancy
Mn1 0.0000 0.0000 0.0000 1
Pt1 0.0000 0.5000 0.5000 1
Pt2 0.5000 0.0000 0.5000 1
Pt3 0.5000 0.5000 0.0000 1
```


# 3
Computed powder diffraction line list
Compound: Mn3Pt
Radiation: Cu Ka
Structure: the GGA-PBE geometry in the Materials Project
Neutral-atom scattering factors, no anomalous dispersion.

Principal peaks in the range 2θ = 10–90°, by angle:
2theta, d [Å], intensity
22.9, 3.889, 44
32.6, 2.750, 37
40.2, 2.245, 100
46.7, 1.945, 48
52.6, 1.739, 21
58.1, 1.588, 16
68.2, 1.375, 30
73.0, 1.296, 10
82.2, 1.173, 35
86.7, 1.123, 10

```
data_Mn3Pt
_chemical_formula_sum 'Mn3 Pt1'
_space_group_name_H-M_alt 'P 1'
_space_group_IT_number 1
_cell_length_a 3.8892
_cell_length_b 3.8892
_cell_length_c 3.8892
_cell_angle_alpha 90.00
_cell_angle_beta 90.00
_cell_angle_gamma 90.00
loop_
_space_group_symop_operation_xyz
'x,y,z'
loop_
_atom_site_label
_atom_site_fract_x
_atom_site_fract_y
_atom_site_fract_z
_atom_site_occupancy
Mn1 0.0000 0.0000 0.5000 1
Mn2 0.0000 0.5000 0.0000 1
Mn3 0.5000 0.0000 0.0000 1
Pt1 0.5000 0.5000 0.5000 1
```


# 4
Computed powder diffraction line list
Compound: Mn3Pt
Radiation: Cu Ka
Structure: the GGA-PBE geometry in the Materials Project
Neutral-atom scattering factors, no anomalous dispersion.

Principal peaks in the range 2θ = 10–90°, by angle:
2theta, d [Å], intensity
29.6, 3.019, 58
34.3, 2.615, 24
39.8, 2.264, 25
44.7, 2.025, 25
45.9, 1.977, 100
61.4, 1.510, 18
72.3, 1.307, 22
83.3, 1.160, 17
89.2, 1.098, 18
90.0, 1.090, 13

```
data_Mn3Pt
_chemical_formula_sum 'Mn6 Pt2'
_space_group_name_H-M_alt 'P 1'
_space_group_IT_number 1
_cell_length_a 5.2294
_cell_length_b 5.2294
_cell_length_c 4.0507
_cell_angle_alpha 90.00
_cell_angle_beta 90.00
_cell_angle_gamma 120.00
loop_
_space_group_symop_operation_xyz
'x,y,z'
loop_
_atom_site_label
_atom_site_fract_x
_atom_site_fract_y
_atom_site_fract_z
_atom_site_occupancy
Mn1 0.1511 0.3022 0.2500 1
Mn2 0.1511 0.8489 0.2500 1
Mn3 0.3022 0.1511 0.7500 1
Mn4 0.6978 0.8489 0.2500 1
Mn5 0.8489 0.1511 0.7500 1
Mn6 0.8489 0.6978 0.7500 1
Pt1 0.3333 0.6667 0.7500 1
Pt2 0.6667 0.3333 0.2500 1
```


# 5
Computed powder diffraction line list
Compound: MnRePt
Radiation: Cu Ka
Structure: the GGA-PBE geometry in the Materials Project
Neutral-atom scattering factors, no anomalous dispersion.

Principal peaks in the range 2θ = 10–90°, by angle:
2theta, d [Å], intensity
26.4, 3.382, 72
30.5, 2.929, 2
43.7, 2.071, 100
51.8, 1.766, 36
63.5, 1.465, 16
70.0, 1.344, 15
80.3, 1.196, 34
86.3, 1.127, 12

```
data_MnRePt
_chemical_formula_sum 'Mn1 Re1 Pt1'
_space_group_name_H-M_alt 'P 1'
_space_group_IT_number 1
_cell_length_a 4.1425
_cell_length_b 4.1425
_cell_length_c 4.1425
_cell_angle_alpha 60.00
_cell_angle_beta 60.00
_cell_angle_gamma 60.00
loop_
_space_group_symop_operation_xyz
'x,y,z'
loop_
_atom_site_label
_atom_site_fract_x
_atom_site_fract_y
_atom_site_fract_z
_atom_site_occupancy
Mn1 0.0000 0.0000 0.0000 1
Re1 0.5000 0.5000 0.5000 1
Pt1 0.7500 0.7500 0.7500 1
```


# 6
Computed powder diffraction line list
Compound: Mn6PtRh
Radiation: Cu Ka
Structure: the GGA-PBE geometry in the Materials Project
Neutral-atom scattering factors, no anomalous dispersion.

Principal peaks in the range 2θ = 10–90°, by angle:
2theta, d [Å], intensity
12.2, 7.262, 9
24.5, 3.631, 28
34.9, 2.567, 23
43.2, 2.096, 100
50.3, 1.815, 47
56.7, 1.624, 13
62.7, 1.482, 9
73.8, 1.284, 28
79.1, 1.210, 6
89.5, 1.095, 35

```
data_Mn6PtRh
_chemical_formula_sum 'Mn6 Pt1 Rh1'
_space_group_name_H-M_alt 'P 1'
_space_group_IT_number 1
_cell_length_a 3.6307
_cell_length_b 3.6307
_cell_length_c 7.2616
_cell_angle_alpha 90.00
_cell_angle_beta 90.00
_cell_angle_gamma 90.00
loop_
_space_group_symop_operation_xyz
'x,y,z'
loop_
_atom_site_label
_atom_site_fract_x
_atom_site_fract_y
_atom_site_fract_z
_atom_site_occupancy
Mn1 0.0000 0.0000 0.0000 1
Mn2 0.0000 0.0000 0.5000 1
Mn3 0.0000 0.5000 0.2486 1
Mn4 0.0000 0.5000 0.7514 1
Mn5 0.5000 0.0000 0.2486 1
Mn6 0.5000 0.0000 0.7514 1
Pt1 0.5000 0.5000 0.5000 1
Rh1 0.5000 0.5000 0.0000 1
```


# 7
Computed powder diffraction line list
Compound: Mn2PtRh
Radiation: Cu Ka
Structure: the GGA-PBE geometry in the Materials Project
Neutral-atom scattering factors, no anomalous dispersion.

Principal peaks in the range 2θ = 10–90°, by angle:
2theta, d [Å], intensity
25.0, 3.566, 11
28.9, 3.088, 26
41.4, 2.183, 100
48.9, 1.862, 6
51.2, 1.783, 8
59.9, 1.544, 16
65.9, 1.417, 2
67.9, 1.381, 10
75.4, 1.261, 33
89.8, 1.092, 11

```
data_Mn2PtRh
_chemical_formula_sum 'Mn2 Pt1 Rh1'
_space_group_name_H-M_alt 'P 1'
_space_group_IT_number 1
_cell_length_a 4.3670
_cell_length_b 4.3670
_cell_length_c 4.3670
_cell_angle_alpha 60.00
_cell_angle_beta 60.00
_cell_angle_gamma 60.00
loop_
_space_group_symop_operation_xyz
'x,y,z'
loop_
_atom_site_label
_atom_site_fract_x
_atom_site_fract_y
_atom_site_fract_z
_atom_site_occupancy
Mn1 0.2500 0.2500 0.2500 1
Mn2 0.7500 0.7500 0.7500 1
Pt1 0.0000 0.0000 0.0000 1
Rh1 0.5000 0.5000 0.5000 1
```


# 8
Computed powder diffraction line list
Compound: Mn2Sb2PtRh
Radiation: Cu Ka
Structure: the GGA-PBE geometry in the Materials Project
Neutral-atom scattering factors, no anomalous dispersion.

Principal peaks in the range 2θ = 10–90°, by angle:
2theta, d [Å], intensity
24.9, 3.582, 55
28.8, 3.102, 9
41.1, 2.194, 100
48.7, 1.871, 27
59.6, 1.551, 16
65.6, 1.423, 11
75.0, 1.267, 25
75.0, 1.266, 8
80.4, 1.194, 6
89.4, 1.096, 5

```
data_Mn2Sb2PtRh
_chemical_formula_sum 'Mn2 Sb2 Pt1 Rh1'
_space_group_name_H-M_alt 'P 1'
_space_group_IT_number 1
_cell_length_a 7.6059
_cell_length_b 7.6059
_cell_length_c 7.6059
_cell_angle_alpha 33.51
_cell_angle_beta 33.51
_cell_angle_gamma 33.51
loop_
_space_group_symop_operation_xyz
'x,y,z'
loop_
_atom_site_label
_atom_site_fract_x
_atom_site_fract_y
_atom_site_fract_z
_atom_site_occupancy
Mn1 0.0000 0.0000 0.0000 1
Mn2 0.4990 0.4990 0.4990 1
Sb1 0.3760 0.3760 0.3760 1
Sb2 0.8729 0.8729 0.8729 1
Pt1 0.2498 0.2498 0.2498 1
Rh1 0.7490 0.7490 0.7490 1
```